[1]
This entry pairs a crystal structure of TlPt3O4 with its computed X-ray diffraction stick pattern. Radiation: Cu Kα, 1.54184 Å. Structure: a structure optimized by DFT (GGA-PBE).

Cell and atoms:
```
data_TlPt3O4
_chemical_formula_sum 'Tl8 Pt24 O32'
_symmetry_space_group_name_H-M 'F m -3 m'
_symmetry_Int_Tables_number 225
_symmetry_space_group_name_Hall '-F 4 2 3'
_cell_length_a 9.805
_cell_length_b 9.805
_cell_length_c 9.805
_cell_angle_alpha 90.00
_cell_angle_beta 90.00
_cell_angle_gamma 90.00
loop_
_atom_site_label
_atom_site_type_symbol
_atom_site_fract_x
_atom_site_fract_y
_atom_site_fract_z
Tl1 Tl 0.000 0.000 0.000
Tl2 Tl 0.000 0.000 0.500
Pt1 Pt 0.000 0.250 0.250
O1 O 0.143 0.143 0.143
```

Top 8 peaks for 2θ = 10–90°, in order of rising 2θ:
2θ 31.61, intensity 100, (2 2 2); 2θ 36.66, intensity 43, (4 0 0); 2θ 52.82, intensity 41, (4 4 0); 2θ 62.87, intensity 43, (6 2 2); 2θ 66.02, intensity 11, (4 4 4); 2θ 77.96, intensity 6, (8 0 0); 2θ 86.54, intensity 18, (6 6 2); 2θ 89.38, intensity 16, (8 4 0)


[2]
This entry pairs a crystal structure of TlPt2O6 with its computed X-ray diffraction stick pattern. Radiation: Cu Kα, 1.54184 Å. Structure: a structure optimized by DFT (GGA-PBE).

Cell and atoms:
```
data_TlPt2O6
_chemical_formula_sum 'Tl1 Pt2 O6'
_symmetry_space_group_name_H-M 'P -3 1 m'
_symmetry_Int_Tables_number 162
_symmetry_space_group_name_Hall '-P 3 2'
_cell_length_a 5.3396
_cell_length_b 5.3396
_cell_length_c 4.7510
_cell_angle_alpha 90.00
_cell_angle_beta 90.00
_cell_angle_gamma 120.00
loop_
_atom_site_label
_atom_site_type_symbol
_atom_site_fract_x
_atom_site_fract_y
_atom_site_fract_z
Tl1 Tl 0.0000 0.0000 0.0000
Pt1 Pt 0.3333 0.6667 0.5000
O1 O 0.0000 0.3683 0.7288
```

Top 8 peaks for 2θ = 10–90°, in order of rising 2θ:
2θ 26.91, intensity 100, (1 0 1); 2θ 33.57, intensity 52, (1 1 0); 2θ 43.53, intensity 27, (2 0 1); 2θ 51.49, intensity 43, (2 -1 2); 2θ 56.07, intensity 27, (3 -1 1); 2θ 60.02, intensity 15, (3 0 0); 2θ 73.20, intensity 11, (3 0 2); 2θ 77.01, intensity 11, (3 1 1)


Question: Which formula does entry 2 have?
Answer: TlPt2O6